1.
Starting from a DFT-relaxed cell (GGA-PBE, Alexandria), the powder X-ray diffraction pattern of YbP5 was simulated for a wavelength of 1.5418 Å.
Lines closer than 0.1° are merged.

Principal peaks in the range 2θ = 10–90°, by angle:
d = 5.322 Å, I = 45
d = 4.486 Å, I = 54
d = 3.795 Å, I = 54
d = 3.300 Å, I = 100
d = 3.154 Å, I = 52
d = 2.617 Å, I = 46
d = 2.502 Å, I = 30
d = 2.249 Å, I = 28

Structural model:
```
24
Lattice="5.4361 0.0000 0.0000 0.0000 16.8246 0.0000 -1.1978 0.0000 5.3224" Properties=species:S:1:pos:R:3 pbc="T T T"
Yb 0.4889 0.0000 0.0728
Yb 0.9701 3.9044 5.2197
Yb 3.2681 12.3167 0.1026
Yb 3.7493 8.4123 5.2496
P 0.2993 14.5149 1.8834
P 0.4518 2.4885 1.7506
P 0.5772 12.4401 1.1977
P 0.4604 11.3699 3.1234
P 0.7209 6.2754 3.4474
P 1.2479 6.2863 1.3189
P 1.0852 9.4258 2.2140
P 0.8328 14.7473 3.9971
P 1.0367 1.4596 3.5669
P 1.0378 8.3538 4.1418
P 3.2004 16.7661 1.1806
P 3.2015 9.8719 1.7555
P 3.4054 6.3350 1.3253
P 3.1531 1.0135 3.1083
P 2.9904 14.6986 4.0034
P 3.5174 14.6877 1.8749
P 3.7778 2.9576 2.1989
P 3.6610 4.0277 4.1247
P 3.7864 10.9008 3.5718
P 3.9390 6.1026 3.4390
```

=====

2.
Starting from a DFT-relaxed cell (GGA-PBE, Alexandria), the powder X-ray diffraction pattern of YbP5 was simulated for a wavelength of 1.5418 Å.
Lines closer than 0.1° are merged.

Principal peaks in the range 2θ = 10–90°, by angle:
d = 4.802 Å, I = 57
d = 4.590 Å, I = 45
d = 3.691 Å, I = 79
d = 3.292 Å, I = 100
d = 3.036 Å, I = 54
d = 2.613 Å, I = 64
d = 2.521 Å, I = 49
d = 2.498 Å, I = 46

Structural model:
```
12
Lattice="4.6979 0.0000 0.0000 0.0000 9.6042 0.0000 -1.4719 0.0000 5.2255" Properties=species:S:1:pos:R:3 pbc="T T T"
Yb -0.2772 2.4011 1.9787
Yb 3.5032 7.2032 3.2468
P -0.0833 2.4011 4.8331
P 0.8134 5.3418 2.1170
P 0.8134 9.0645 2.1170
P 1.7120 5.6958 0.1280
P 1.7120 8.7106 0.1280
P 1.5140 0.8937 5.0975
P 1.5140 3.9084 5.0975
P 2.4126 0.5397 3.1085
P 2.4126 4.2624 3.1085
P 3.3093 7.2032 0.3924
```

=====

3.
Starting from a DFT-relaxed cell (GGA-PBE, Alexandria), the powder X-ray diffraction pattern of ZrP3 was simulated for a wavelength of 1.5418 Å.
Lines closer than 0.1° are merged.

Principal peaks in the range 2θ = 10–90°, by angle:
d = 4.164 Å, I = 35
d = 4.134 Å, I = 27
d = 2.640 Å, I = 100
d = 2.333 Å, I = 30
d = 2.256 Å, I = 76
d = 2.118 Å, I = 29
d = 1.889 Å, I = 28
d = 1.724 Å, I = 32

Structural model:
```
16
Lattice="7.3793 0.0000 0.0000 0.0000 7.5567 0.0000 0.0000 0.0000 4.9899" Properties=species:S:1:pos:R:3 pbc="T T T"
Zr 0.4129 1.8892 0.6575
Zr 3.2767 5.6676 3.1524
Zr 4.1026 1.8892 1.8375
Zr 6.9663 5.6676 4.3324
P 0.6555 5.6676 1.8698
P 1.7958 3.8119 4.3713
P 1.7958 7.5233 4.3713
P 1.8938 0.0335 1.8763
P 1.8938 3.7449 1.8763
P 3.0341 1.8892 4.3648
P 4.3452 5.6676 0.6251
P 5.4854 3.8119 3.1136
P 5.4854 7.5233 3.1136
P 5.5835 0.0335 0.6186
P 5.5835 3.7449 0.6186
P 6.7237 1.8892 3.1201
```